This entry pairs a crystal structure of Li4Fe7O2F14 with its theoretical PXRD pattern. Radiation: Cu Kα. Structure: a PBE+U-relaxed structure.

Atomic structure:
```
27
Lattice="6.101 0.000 0.000 -2.900 5.418 0.000 -2.784 -1.983 10.184" Properties=species:S:1:pos:R:3 pbc="T T T"
Li 0.000 0.000 0.000
Li -2.862 1.897 5.004
Li 0.381 3.349 6.223
Li 3.290 1.673 1.068
Fe 0.102 -0.163 5.635
Fe -1.386 4.432 3.069
Fe 0.199 1.628 2.978
Fe -2.691 3.441 8.140
Fe 0.268 3.473 0.399
Fe 1.855 0.693 8.122
Fe 1.920 4.425 3.055
O 0.093 0.001 1.918
O -2.776 3.744 4.346
F -2.903 1.694 6.975
F -2.848 -0.159 9.478
F -1.241 -1.214 6.933
F -4.108 2.441 9.426
F -1.334 0.873 4.358
F -1.240 2.707 1.717
F 0.285 3.406 4.113
F 3.155 -0.290 1.828
F -1.286 2.670 9.475
F 1.724 -1.077 6.909
F 0.399 1.488 6.780
F 1.699 0.831 4.321
F 1.726 2.649 1.717
F 0.476 -0.235 9.327
```

Principal peaks in the range 2θ from 5° to 70°, in order of rising 2θ:
- (0 1 -1), d = 5.134 Å, I 30
- (1 0 0), d = 5.098 Å, I 61
- (-1 1 1), d = 4.911 Å, I 100
- (1 -1 3), d = 2.680 Å, I 34
- (1 1 -3), d = 2.675 Å, I 19
- (1 0 -4), d = 2.639 Å, I 23
- (2 -2 2), d = 2.200 Å, I 51
- (0 2 2), d = 2.192 Å, I 49
- (2 0 -4), d = 2.179 Å, I 49
- (0 2 -6), d = 1.573 Å, I 33